This entry pairs a crystal structure of Ca2PmNbO6 with its computed powder X-ray diffraction pattern. Radiation: Cu Kα (weighted mean of Kα1 and Kα2). Structure: DFT lattice parameters and positions (PBE).
Kinematic intensities with the Lorentz-polarization factor, no thermal factor.

Peak list (10 most intense, 2θ from 5° to 70°, most intense first)
- 29.8°, I = 100
- 21.4°, I = 90
- 31.0°, I = 85
- 43.5°, I = 47
- 54.4°, I = 41
- 48.2°, I = 39
- 55.1°, I = 28
- 35.9°, I = 17
- 52.2°, I = 16
- 49.7°, I = 16

```
Ca2PmNbO6
1.0
2.8887 1.6678 4.9880
-2.8887 1.6678 4.9880
0.0000 -3.3356 4.9880
Ca Pm Nb O
2 1 1 6
Direct
0.0000 0.0000 0.0000
0.4993 0.4993 0.4993
0.2235 0.2235 0.2235
0.7150 0.7150 0.7150
0.0487 0.4554 0.8311
0.3582 0.9055 0.6010
0.4554 0.8311 0.0487
0.6010 0.3582 0.9055
0.8311 0.0487 0.4554
0.9055 0.6010 0.3582
```